# 1
Computed powder XRD pattern of TiSbW for a wavelength of 1.5418 Å, from a structure optimized by DFT (PBE).
Intensities are scaled so that the largest is 1000.

Structural model:
```
data_TiSbW
_chemical_formula_sum 'Ti2 Sb2 W2'
_space_group_name_H-M_alt 'P 1'
_space_group_IT_number 1
_cell_length_a 3.656
_cell_length_b 3.656
_cell_length_c 8.708
_cell_angle_alpha 90.00
_cell_angle_beta 90.00
_cell_angle_gamma 90.00
loop_
_space_group_symop_operation_xyz
'x,y,z'
loop_
_atom_site_label
_atom_site_type_symbol
_atom_site_fract_x
_atom_site_fract_y
_atom_site_fract_z
Ti1 Ti 0.250 0.250 0.247
Ti2 Ti 0.750 0.750 0.753
Sb1 Sb 0.250 0.250 0.880
Sb2 Sb 0.750 0.750 0.120
W1 W 0.250 0.250 0.543
W2 W 0.750 0.750 0.457
```

Most intense lines, 2θ from 10° to 90°, sorted by position:
2θ/deg	d/Å	intensity
10.16	8.708	494
20.40	4.354	193
26.44	3.371	229
30.80	2.903	236
34.70	2.585	1000
39.64	2.273	835
47.07	1.931	293
49.88	1.828	354
65.52	1.425	370
69.71	1.349	201


# 2
Computed powder XRD pattern of CeCuNiPb for a wavelength of 1.5418 Å, from a structure optimized by DFT (PBE).
Intensities are scaled so that the largest is 1000.

Structural model:
```
data_CeCuNiPb
_chemical_formula_sum 'Ce4 Cu4 Ni4 Pb4'
_space_group_name_H-M_alt 'P 1'
_space_group_IT_number 1
_cell_length_a 6.751
_cell_length_b 6.751
_cell_length_c 6.751
_cell_angle_alpha 90.00
_cell_angle_beta 90.00
_cell_angle_gamma 90.00
loop_
_space_group_symop_operation_xyz
'x,y,z'
loop_
_atom_site_label
_atom_site_type_symbol
_atom_site_fract_x
_atom_site_fract_y
_atom_site_fract_z
Ce1 Ce 0.000 0.000 0.000
Ce2 Ce 0.000 0.500 0.500
Ce3 Ce 0.500 0.000 0.500
Ce4 Ce 0.500 0.500 0.000
Cu1 Cu 0.250 0.250 0.750
Cu2 Cu 0.250 0.750 0.250
Cu3 Cu 0.750 0.250 0.250
Cu4 Cu 0.750 0.750 0.750
Ni1 Ni 0.250 0.250 0.250
Ni2 Ni 0.250 0.750 0.750
Ni3 Ni 0.750 0.250 0.750
Ni4 Ni 0.750 0.750 0.250
Pb1 Pb 0.000 0.000 0.500
Pb2 Pb 0.000 0.500 0.000
Pb3 Pb 0.500 0.000 0.000
Pb4 Pb 0.500 0.500 0.500
```

Most intense lines, 2θ from 10° to 90°, sorted by position:
2θ/deg	d/Å	intensity
22.82	3.898	41
26.41	3.375	236
37.69	2.387	1000
44.51	2.035	25
46.61	1.949	73
54.36	1.688	172
61.42	1.509	101
68.04	1.378	347
80.48	1.193	109
86.50	1.125	55


# 3
Computed powder XRD pattern of Na3In5Ga for a wavelength of 1.5418 Å, from a structure optimized by DFT (PBE).
Intensities are scaled so that the largest is 1000.

Structural model:
```
data_Na3In5Ga
_chemical_formula_sum 'Na6 In10 Ga2'
_space_group_name_H-M_alt 'P 1'
_space_group_IT_number 1
_cell_length_a 8.807
_cell_length_b 8.807
_cell_length_c 8.807
_cell_angle_alpha 117.99
_cell_angle_beta 117.99
_cell_angle_gamma 93.52
loop_
_space_group_symop_operation_xyz
'x,y,z'
loop_
_atom_site_label
_atom_site_type_symbol
_atom_site_fract_x
_atom_site_fract_y
_atom_site_fract_z
Na1 Na 0.115 0.615 0.730
Na2 Na 0.250 0.250 0.000
Na3 Na 0.385 0.115 0.500
Na4 Na 0.615 0.885 0.500
Na5 Na 0.750 0.750 0.000
Na6 Na 0.885 0.385 0.270
In1 In 0.000 0.000 0.000
In2 In 0.051 0.170 0.500
In3 In 0.170 0.670 0.120
In4 In 0.330 0.449 0.500
In5 In 0.449 0.949 0.120
In6 In 0.500 0.500 0.000
In7 In 0.551 0.051 0.880
In8 In 0.670 0.551 0.500
In9 In 0.830 0.330 0.880
In10 In 0.949 0.830 0.500
Ga1 Ga 0.250 0.750 0.500
Ga2 Ga 0.750 0.250 0.500
```

Most intense lines, 2θ from 10° to 90°, sorted by position:
2θ/deg	d/Å	intensity
20.20	4.395	324
23.13	3.846	526
27.81	3.208	721
31.17	2.869	297
31.31	2.857	836
34.62	2.591	188
35.74	2.512	1000
41.72	2.165	361
47.07	1.931	424
52.45	1.745	186


# 4
Computed powder XRD pattern of La2MgInFe for a wavelength of 1.5418 Å, from a structure optimized by DFT (PBE).
Intensities are scaled so that the largest is 1000.

Structural model:
```
data_La2MgInFe
_chemical_formula_sum 'La2 Mg1 In1 Fe1'
_space_group_name_H-M_alt 'P 1'
_space_group_IT_number 1
_cell_length_a 5.092
_cell_length_b 5.092
_cell_length_c 5.199
_cell_angle_alpha 90.00
_cell_angle_beta 90.00
_cell_angle_gamma 90.00
loop_
_space_group_symop_operation_xyz
'x,y,z'
loop_
_atom_site_label
_atom_site_type_symbol
_atom_site_fract_x
_atom_site_fract_y
_atom_site_fract_z
La1 La 0.000 0.500 0.000
La2 La 0.500 0.000 0.000
Mg1 Mg 0.000 0.000 0.500
In1 In 0.500 0.500 0.500
Fe1 Fe 0.000 0.000 0.000
```

Most intense lines, 2θ from 10° to 90°, sorted by position:
2θ/deg	d/Å	intensity
17.05	5.199	286
24.47	3.638	306
30.19	2.960	1000
34.50	2.600	312
35.25	2.546	587
50.15	1.819	423
50.71	1.800	205
59.17	1.562	147
60.16	1.538	280
62.78	1.480	211